(1)
This entry pairs a crystal structure of Nb3N2Cl7O5 with its simulated XRD peak list. Radiation: Cu Kα X-rays. Structure: a DFT-relaxed cell (GGA-PBE, the Materials Project).

Structural model:
```
data_Nb3N2Cl7O5
_space_group_name_H-M_alt 'C 1 2/c 1'
_space_group_IT_number 15
_space_group_name_Hall '-C 2yc'
_cell_length_a 17.127
_cell_length_b 9.037
_cell_length_c 11.366
_cell_angle_alpha 90.00
_cell_angle_beta 111.25
_cell_angle_gamma 90.00
loop_
_atom_site_label
_atom_site_type_symbol
_atom_site_fract_x
_atom_site_fract_y
_atom_site_fract_z
Nb1 Nb 0.000 0.032 0.250
Nb2 Nb 0.005 0.287 0.979
N1 N 0.202 0.456 0.355
Cl1 Cl 0.000 0.409 0.750
Cl2 Cl 0.148 0.071 0.331
Cl3 Cl 0.148 0.291 0.635
Cl4 Cl 0.152 0.292 0.036
O1 O 0.000 0.500 0.000
O2 O 0.001 0.105 0.875
O3 O 0.001 0.210 0.122
```

Peak list (6 most intense, 2θ from 10° to 90°, most intense first)
(hkl)	d (Å)	two_theta	I_rel
2 0 0	7.981	11.09	100
2 2 -2	3.466	25.70	45
0 2 2	3.438	25.92	29
6 0 0	2.661	33.69	24
1 1 -2	4.808	18.45	23
0 2 1	4.163	21.34	14

(2)
This entry pairs a crystal structure of KMg6BiO8 with its simulated XRD peak list. Radiation: Cu Kα X-rays. Structure: a DFT-relaxed cell (GGA-PBE, the Materials Project).

Structural model:
```
data_KMg6BiO8
_space_group_name_H-M_alt 'P 4/m m m'
_space_group_IT_number 123
_space_group_name_Hall '-P 4 2'
_cell_length_a 4.601
_cell_length_b 4.601
_cell_length_c 9.031
_cell_angle_alpha 90.00
_cell_angle_beta 90.00
_cell_angle_gamma 90.00
loop_
_atom_site_label
_atom_site_type_symbol
_atom_site_fract_x
_atom_site_fract_y
_atom_site_fract_z
K1 K 0.000 0.000 0.000
Mg1 Mg 0.000 0.000 0.500
Mg2 Mg 0.000 0.500 0.271
Mg3 Mg 0.500 0.500 0.500
Bi1 Bi 0.500 0.500 0.000
O1 O 0.000 0.000 0.279
O2 O 0.000 0.500 0.000
O3 O 0.000 0.500 0.500
O4 O 0.500 0.500 0.270
```

Peak list (6 most intense, 2θ from 10° to 90°, most intense first)
(hkl)	d (Å)	two_theta	I_rel
2 0 0	2.301	39.15	100
1 0 1	4.100	21.68	87
1 1 2	2.640	33.96	75
1 1 1	3.061	29.17	61
1 0 0	4.601	19.29	55
2 0 4	1.611	57.16	55

(3)
This entry pairs a crystal structure of Nb2CN with its simulated XRD peak list. Radiation: Cu Kα X-rays. Structure: a DFT-relaxed cell (GGA-PBE, the Materials Project).

Structural model:
```
data_Nb2CN
_space_group_name_H-M_alt 'R -3 m'
_space_group_IT_number 166
_space_group_name_Hall '-R 3 2"'
_cell_length_a 3.1768
_cell_length_b 3.1768
_cell_length_c 15.5699
_cell_angle_alpha 90.00
_cell_angle_beta 90.00
_cell_angle_gamma 120.00
loop_
_atom_site_label
_atom_site_type_symbol
_atom_site_fract_x
_atom_site_fract_y
_atom_site_fract_z
Nb1 Nb 0.0000 0.0000 0.2434
C1 C 0.0000 0.0000 0.5000
N1 N 0.0000 0.0000 0.0000
```

Peak list (6 most intense, 2θ from 10° to 90°, most intense first)
(hkl)	d (Å)	two_theta	I_rel
0 1 2	2.594	34.58	100
1 0 4	2.247	40.14	81
1 1 0	1.589	58.06	50
2 0 2	1.355	69.37	38
0 2 4	1.297	72.93	16
2 0 8	1.123	86.67	7

(4)
This entry pairs a crystal structure of TmInPd2 with its simulated XRD peak list. Radiation: Cu Kα X-rays. Structure: a DFT-relaxed cell (GGA-PBE, the Materials Project).

Structural model:
```
data_TmInPd2
_space_group_name_H-M_alt 'F m -3 m'
_space_group_IT_number 225
_space_group_name_Hall '-F 4 2 3'
_cell_length_a 6.743
_cell_length_b 6.743
_cell_length_c 6.743
_cell_angle_alpha 90.00
_cell_angle_beta 90.00
_cell_angle_gamma 90.00
loop_
_atom_site_label
_atom_site_type_symbol
_atom_site_fract_x
_atom_site_fract_y
_atom_site_fract_z
Tm1 Tm 0.000 0.000 0.000
In1 In 0.000 0.000 0.500
Pd1 Pd 0.250 0.250 0.250
```

Peak list (6 most intense, 2θ from 10° to 90°, most intense first)
(hkl)	d (Å)	two_theta	I_rel
2 2 0	2.384	37.74	100
4 2 2	1.376	68.13	34
4 0 0	1.686	54.43	17
4 4 0	1.192	80.60	11
1 1 1	3.893	22.84	2
2 0 0	3.371	26.44	2

(5)
This entry pairs a crystal structure of NbPb2Se2ClO8 with its simulated XRD peak list. Radiation: Cu Kα X-rays. Structure: a DFT-relaxed cell (GGA-PBE, the Materials Project).

Structural model:
```
data_NbPb2Se2ClO8
_space_group_name_H-M_alt 'P 1 21 1'
_space_group_IT_number 4
_space_group_name_Hall 'P 2yb'
_cell_length_a 8.758
_cell_length_b 5.504
_cell_length_c 10.998
_cell_angle_alpha 90.00
_cell_angle_beta 112.28
_cell_angle_gamma 90.00
loop_
_atom_site_label
_atom_site_type_symbol
_atom_site_fract_x
_atom_site_fract_y
_atom_site_fract_z
Nb1 Nb 0.159 0.000 0.068
Pb1 Pb 0.192 0.994 0.483
Pb2 Pb 0.315 0.450 0.796
Se1 Se 0.016 0.006 0.727
Se2 Se 0.383 0.501 0.202
Cl1 Cl 0.361 0.521 0.548
O1 O 0.031 0.306 0.036
O2 O 0.061 0.231 0.631
O3 O 0.079 0.753 0.664
O4 O 0.173 0.940 0.233
O5 O 0.181 0.071 0.871
O6 O 0.325 0.715 0.071
O7 O 0.376 0.230 0.116
O8 O 0.411 0.053 0.734
```

Peak list (6 most intense, 2θ from 10° to 90°, most intense first)
(hkl)	d (Å)	two_theta	I_rel
2 1 0	3.263	27.33	100
1 1 -2	3.822	23.28	64
1 1 2	3.083	28.97	58
0 2 0	2.752	32.54	48
2 1 -3	2.821	31.72	42
1 0 -1	7.984	11.08	34